(1)
Computed XRD peak list of KBCl for copper Kα, from DFT lattice parameters and positions (GGA-PBE).

Crystal structure
Lattice parameters (Å, degrees): 8.602 8.836 8.472 90.00 90.00 90.00
Space group Cmce (No. 64)
Inequivalent atoms, fractional coordinates:
K  0.250  0.091  0.250 x8
B  0.000  0.080  0.524 x8
Cl  0.000  0.218  0.988 x8

The 8 most intense peaks (15 to 90 degrees two-theta), most intense first:
2θ/deg  intensity
29.6  100
30.9  38
22.7  35
29.0  30
29.2  30
42.0  17
42.7  15
37.8  13


(2)
Computed XRD peak list of KLiB2Cl8 for copper Kα, from DFT lattice parameters and positions (GGA-PBE).

Crystal structure
Lattice parameters (Å, degrees): 6.0350 6.0350 27.4371 90.00 90.00 120.00
Space group R-3 (No. 148, hexagonal axes)
Inequivalent atoms, fractional coordinates:
K  0.0000  0.0000  0.0000 x3
Li  0.0000  0.0000  0.5000 x3
B  0.0000  0.0000  0.2470 x6
Cl  0.0000  0.0000  0.3150 x6
Cl  0.0005  0.7068  0.7744 x18

The 8 most intense peaks (15 to 90 degrees two-theta), most intense first:
2θ/deg  intensity
31.2  100
35.6  59
29.3  36
21.4  23
52.5  19
50.1  18
61.3  15
18.2  14


(3)
Computed XRD peak list of KZn2BCl2O3 for copper Kα, from DFT lattice parameters and positions (GGA-PBE).

Crystal structure
Lattice parameters (Å, degrees): 5.0125 5.0125 26.8102 90.00 90.00 120.00
Space group R32 (No. 155, hexagonal axes)
Inequivalent atoms, fractional coordinates:
K  0.0000  0.0000  0.0000 x3
Zn  0.0000  0.0000  0.1946 x6
B  0.0000  0.0000  0.5000 x3
Cl  0.0000  0.0000  0.2795 x6
O  0.0000  0.2760  0.5000 x9

The 8 most intense peaks (15 to 90 degrees two-theta), most intense first:
2θ/deg  intensity
35.8  100
24.4  96
21.5  85
39.5  58
19.9  52
26.4  39
42.5  31
64.0  22


(4)
Computed XRD peak list of La4B4Cl5 for copper Kα, from DFT lattice parameters and positions (GGA-PBE).

Crystal structure
Lattice parameters (Å, degrees): 17.867 4.276 9.747 90.00 108.52 90.00
Space group C2/m (No. 12)
Inequivalent atoms, fractional coordinates:
La  0.009  0.000  0.264 x4
La  0.146  0.500  0.078 x4
B  0.000  0.186  0.000 x4
B  0.002  0.500  0.105 x4
Cl  0.000  0.500  0.500 x2
Cl  0.172  0.000  0.877 x4
Cl  0.181  0.000  0.297 x4

The 8 most intense peaks (15 to 90 degrees two-theta), most intense first:
2θ/deg  intensity
27.8  100
26.1  32
31.7  31
16.3  26
43.3  23
41.9  22
36.9  19
20.1  18


(5)
Computed XRD peak list of La7BCl12 for copper Kα, from DFT lattice parameters and positions (GGA-PBE).

Crystal structure
Lattice parameters (Å, degrees): 14.8438 14.8438 10.0911 90.00 90.00 120.00
Space group R-3 (No. 148, hexagonal axes)
Inequivalent atoms, fractional coordinates:
La  0.0000  0.0000  0.0000 x3
La  0.0391  0.1653  0.3437 x18
B  0.0000  0.0000  0.5000 x3
Cl  0.0272  0.5817  0.1608 x18
Cl  0.0430  0.1765  0.8396 x18

The 8 most intense peaks (15 to 90 degrees two-theta), most intense first:
2θ/deg  intensity
30.7  100
44.0  69
26.5  31
72.6  26
54.6  22
20.3  20
29.1  19
80.9  18


(6)
Computed XRD peak list of LiBCl4 for copper Kα, from DFT lattice parameters and positions (GGA-PBE).

Crystal structure
Lattice parameters (Å, degrees): 5.9477 5.9477 14.3082 90.00 90.00 120.00
Space group P3_121 (No. 152)
Inequivalent atoms, fractional coordinates:
Li  0.0000  0.4799  0.1667 x3
B  0.0000  0.4852  0.6667 x3
Cl  0.0438  0.6864  0.7722 x6
Cl  0.1562  0.7092  0.3164 x6

The 8 most intense peaks (15 to 90 degrees two-theta), most intense first:
2θ/deg  intensity
30.4  100
30.0  95
21.3  59
32.6  47
18.3  44
35.9  30
18.6  24
47.1  23